Calculated powder diffraction line list of U3O8 for a wavelength of 1.5418 Å, from a cell relaxed with GGA-PBE.
Lines closer than 0.1° are merged.

Cell and atoms:
```
data_U3O8
_cell_length_a 6.4711
_cell_length_b 6.4711
_cell_length_c 4.1754
_cell_angle_alpha 90.00
_cell_angle_beta 90.00
_cell_angle_gamma 120.00
_symmetry_space_group_name_H-M 'P -3 1 m'
_symmetry_Int_Tables_number 162
_symmetry_space_group_name_Hall '-P 3 2'
loop_
_atom_site_label
_atom_site_type_symbol
_atom_site_fract_x
_atom_site_fract_y
_atom_site_fract_z
U1 U 0.0000 0.0000 0.0000
U2 U 0.3333 0.6667 0.0000
O1 O 0.0000 0.3188 0.1585
O2 O 0.3333 0.6667 0.5000
```

The 8 most intense peaks (2θ from 5° to 70°), in order of rising 2θ:
index, d (Å), Position (°2θ), I_rel
0 0 1, 4.175, 21.28, 70
1 1 0, 3.236, 27.57, 100
2 -1 1, 2.558, 35.09, 96
3 0 0, 1.868, 48.75, 31
2 -1 2, 1.754, 52.14, 44
3 0 1, 1.705, 53.76, 36
2 2 1, 1.509, 61.47, 21
3 0 2, 1.392, 67.25, 20


Calculated powder diffraction line list of AlH6BrO4 for a wavelength of 1.5418 Å, from a cell relaxed with GGA-PBE.
Lines closer than 0.1° are merged.

Cell and atoms:
```
data_AlH6BrO4
_cell_length_a 9.1116
_cell_length_b 13.5718
_cell_length_c 5.2459
_cell_angle_alpha 90.00
_cell_angle_beta 124.15
_cell_angle_gamma 90.00
_symmetry_space_group_name_H-M 'C 1 2/c 1'
_symmetry_Int_Tables_number 15
loop_
_symmetry_equiv_pos_as_xyz
'x,y,z'
'-x,-y,-z'
'-x,y,-z+1/2'
'x,-y,z+1/2'
'x+1/2,y+1/2,z'
'-x+1/2,-y+1/2,-z'
'-x+1/2,y+1/2,-z+1/2'
'x+1/2,-y+1/2,z+1/2'
loop_
_atom_site_label
_atom_site_type_symbol
_atom_site_fract_x
_atom_site_fract_y
_atom_site_fract_z
Al1 Al 0.0000 0.0493 0.2500
H1 H 0.0929 0.2176 0.1289
H2 H 0.2431 0.0721 0.8302
H3 H 0.2443 0.3546 0.7242
Br1 Br 0.0000 0.3412 0.7500
O1 O 0.1349 0.0377 0.6782
O2 O 0.1484 0.1614 0.2730
```

The 8 most intense peaks (2θ from 5° to 70°), in order of rising 2θ:
index, d (Å), Position (°2θ), I_rel
1 3 0, 3.879, 22.92, 83
2 0 0, 3.770, 23.60, 35
0 2 1, 3.657, 24.34, 100
2 2 -1, 3.615, 24.63, 70
3 1 -1, 2.963, 30.16, 31
0 4 1, 2.673, 33.52, 31
3 3 -2, 2.164, 41.75, 30
3 5 -1, 2.024, 44.78, 40